Calculated X-ray diffraction stick pattern of Ce2WO6 for Cu Kα, 1.54184 Å, from a crystal structure in the Materials Project, relaxed with PBE+U.

Structural model:
```
data_Ce2WO6
_symmetry_space_group_name_H-M 'P 42/m n m'
_symmetry_Int_Tables_number 136
_symmetry_space_group_name_Hall '-P 4n 2n'
_cell_length_a 5.037
_cell_length_b 5.037
_cell_length_c 10.485
_cell_angle_alpha 90.00
_cell_angle_beta 90.00
_cell_angle_gamma 90.00
loop_
_atom_site_label
_atom_site_fract_x
_atom_site_fract_y
_atom_site_fract_z
Ce1 0.000 0.000 0.167
W1 0.000 0.000 0.500
O1 0.185 0.185 0.345
O2 0.208 0.208 0.000
```

Principal peaks in the range 2θ from 5° to 70°, in order of falling intensity:
2θ 25.0, rel. 100.0
2θ 31.1, rel. 91.5
2θ 48.1, rel. 71.3
2θ 35.6, rel. 26.4
2θ 61.2, rel. 20.6
2θ 58.9, rel. 18.4
2θ 57.9, rel. 16.6
2θ 51.3, rel. 16.3

=====

Calculated X-ray diffraction stick pattern of FeSeO4 for Cu Kα, 1.54184 Å, from a crystal structure in the Materials Project, relaxed with PBE+U.

Structural model:
```
data_FeSeO4
_symmetry_space_group_name_H-M 'C m c m'
_symmetry_Int_Tables_number 63
_symmetry_space_group_name_Hall '-C 2c 2'
_cell_length_a 5.602
_cell_length_b 8.435
_cell_length_c 6.738
_cell_angle_alpha 90.00
_cell_angle_beta 90.00
_cell_angle_gamma 90.00
loop_
_atom_site_label
_atom_site_fract_x
_atom_site_fract_y
_atom_site_fract_z
Fe1 0.000 0.000 0.000
Se1 0.000 0.349 0.250
O1 0.000 0.243 0.042
O2 0.247 0.466 0.250
```

Principal peaks in the range 2θ from 5° to 70°, in order of falling intensity:
2θ 23.2, rel. 100.0
2θ 32.8, rel. 84.9
2θ 24.9, rel. 60.1
2θ 35.7, rel. 49.5
2θ 32.0, rel. 38.1
2θ 61.5, rel. 29.3
2θ 66.8, rel. 23.0
2θ 47.4, rel. 18.7